Simulated X-ray powder pattern
Compound: MgAsH16NO10
Radiation: Cu Kα X-rays
Structure: the PBE geometry in the Materials Project
Peak positions follow from Bragg's law for the DFT cell and can differ from measured ones.

Peak list (6 most intense, 2θ = 5–70°, by intensity)
2theta  I_rel
20.57  100
20.46  97
15.40  94
21.10  75
32.91  66
14.52  47

Cell and atoms:
Lattice parameters (Å, degrees): 7.1416 6.1782 13.4723 90.00 121.35 90.00
Fractional positions:
Mg  0.0000  0.1249  0.0000
Mg  0.0000  0.8751  0.5000
As  0.6262  0.4952  0.1285
As  0.6262  0.5048  0.6285
H  0.0053  0.4989  0.6196
H  0.0053  0.5011  0.1196
H  0.0130  0.2896  0.8095
H  0.0130  0.7104  0.3095
H  0.2310  0.4967  0.6192
H  0.2310  0.5033  0.1192
H  0.2451  0.3241  0.9256
H  0.2451  0.6759  0.4256
H  0.2530  0.0374  0.3639
H  0.2530  0.9626  0.8639
H  0.3127  0.1452  0.2693
H  0.3127  0.8548  0.7693
H  0.3665  0.1311  0.6333
H  0.3665  0.8689  0.1333
H  0.4101  0.2711  0.4030
H  0.4101  0.7289  0.9030
H  0.4573  0.1087  0.1419
H  0.4573  0.8913  0.6419
H  0.5074  0.0234  0.3874
H  0.5074  0.9766  0.8874
H  0.6059  0.2900  0.8109
H  0.6059  0.7100  0.3109
H  0.6086  0.3303  0.9285
H  0.6086  0.6697  0.4285
H  0.8245  0.1056  0.1418
H  0.8245  0.8944  0.6418
H  0.8302  0.2103  0.3304
H  0.8302  0.7897  0.8304
H  0.8914  0.1360  0.6306
H  0.8914  0.8640  0.1306
H  0.9576  0.3188  0.4580
H  0.9576  0.6812  0.9580
N  0.3705  0.1228  0.3567
N  0.3705  0.8772  0.8567
O  0.0770  0.4435  0.0771
O  0.0770  0.5565  0.5771
O  0.1133  0.2266  0.8897
O  0.1133  0.7734  0.3897
O  0.3189  0.0246  0.1200
O  0.3189  0.9754  0.6200
O  0.4742  0.3756  0.6768
O  0.4742  0.6244  0.1768
O  0.4776  0.4830  0.9785
O  0.4776  0.5170  0.4785
O  0.6709  0.2326  0.8928
O  0.6709  0.7674  0.3928
O  0.6816  0.2360  0.1850
O  0.6816  0.7640  0.6850
O  0.8740  0.3784  0.6761
O  0.8740  0.6216  0.1761
O  0.9100  0.0189  0.1151
O  0.9100  0.9811  0.6151
O  0.9163  0.1799  0.4164
O  0.9163  0.8201  0.9164

---

Simulated X-ray powder pattern
Compound: CsHS2O6F2
Radiation: Cu Kα X-rays
Structure: the PBE geometry in the Materials Project
Peak positions follow from Bragg's law for the DFT cell and can differ from measured ones.

Peak list (6 most intense, 2θ = 5–70°, by intensity)
2theta  I_rel
25.66  100
23.05  86
23.77  66
24.15  62
27.69  45
36.22  33

Cell and atoms:
Lattice parameters (Å, degrees): 7.8242 7.8242 9.5638 122.58 122.58 60.12
Fractional positions:
Cs  0.1157  0.8843  0.7500
Cs  0.8843  0.1157  0.2500
H  0.0000  0.5000  0.0000
H  0.5000  0.0000  0.5000
S  0.1759  0.4843  0.2809
S  0.4843  0.1759  0.7809
S  0.5157  0.8241  0.2191
S  0.8241  0.5157  0.7191
O  0.0651  0.3906  0.0825
O  0.1392  0.7101  0.3502
O  0.1644  0.3994  0.3754
O  0.2899  0.8608  0.1498
O  0.3906  0.0651  0.5825
O  0.3994  0.1644  0.8754
O  0.6006  0.8356  0.1246
O  0.6094  0.9349  0.4175
O  0.7101  0.1392  0.8502
O  0.8356  0.6006  0.6246
O  0.8608  0.2899  0.6498
O  0.9349  0.6094  0.9175
F  0.3823  0.4205  0.7971
F  0.4205  0.3823  0.2971
F  0.5795  0.6177  0.7029
F  0.6177  0.5795  0.2029

---

Simulated X-ray powder pattern
Compound: ErBi2C
Radiation: Cu Kα X-rays
Structure: the PBE geometry in the Materials Project
Peak positions follow from Bragg's law for the DFT cell and can differ from measured ones.

Peak list (6 most intense, 2θ = 5–70°, by intensity)
2theta  I_rel
31.18  100
36.45  100
28.04  73
42.93  58
32.33  44
33.12  42

Cell and atoms:
Lattice parameters (Å, degrees): 11.4739 11.4739 5.6209 90.00 90.00 90.00
Fractional positions:
Er  0.1626  0.3374  0.2500
Er  0.1626  0.3374  0.7500
Er  0.3374  0.8374  0.2500
Er  0.3374  0.8374  0.7500
Er  0.6626  0.1626  0.2500
Er  0.6626  0.1626  0.7500
Er  0.8374  0.6626  0.2500
Er  0.8374  0.6626  0.7500
Bi  0.0611  0.1244  0.0000
Bi  0.1117  0.6117  0.0000
Bi  0.1117  0.6117  0.5000
Bi  0.1244  0.9389  0.5000
Bi  0.3756  0.4389  0.5000
Bi  0.3883  0.1117  0.0000
Bi  0.3883  0.1117  0.5000
Bi  0.4389  0.6244  0.0000
Bi  0.5611  0.3756  0.0000
Bi  0.6117  0.8883  0.0000
Bi  0.6117  0.8883  0.5000
Bi  0.6244  0.5611  0.5000
Bi  0.8756  0.0611  0.5000
Bi  0.8883  0.3883  0.0000
Bi  0.8883  0.3883  0.5000
Bi  0.9389  0.8756  0.0000
C  0.0727  0.1478  0.5000
C  0.1478  0.9273  0.0000
C  0.3522  0.4273  0.0000
C  0.4273  0.6478  0.5000
C  0.5727  0.3522  0.5000
C  0.6478  0.5727  0.0000
C  0.8522  0.0727  0.0000
C  0.9273  0.8522  0.5000